[1]
# PmTiRh
Computed XRD peak list, Cu Kα (weighted mean of Kα1 and Kα2). Input: the PBE geometry in Alexandria.
No peak broadening, texture or thermal motion is included.

Largest 6 diffraction maxima, low angle first, 2θ from 10° to 80°:
2theta  intensity
28.19  32.9
30.81  21.8
35.83  100.0
38.71  50.1
50.27  21.9
68.19  29.6

Atomic structure:
a = 3.290 Å, b = 3.290 Å, c = 11.608 Å
α = 90.00°, β = 90.00°, γ = 90.00°
Element x y z (fractional)
Pm1 0.000 0.000 0.000
Pm2 0.500 0.500 0.500
Ti1 0.000 0.000 0.715
Ti2 0.500 0.500 0.215
Rh1 0.000 0.000 0.306
Rh2 0.500 0.500 0.806


[2]
# LiAl6Rh2
Computed XRD peak list, Cu Kα (weighted mean of Kα1 and Kα2). Input: the PBE geometry in Alexandria.
No peak broadening, texture or thermal motion is included.

Largest 6 diffraction maxima, low angle first, 2θ from 10° to 80°:
2theta  intensity
13.01  58.0
22.96  55.5
39.74  60.3
40.10  56.2
42.06  100.0
43.31  93.6

Atomic structure:
a = 4.806 Å, b = 4.806 Å, c = 7.044 Å
α = 96.96°, β = 96.96°, γ = 124.08°
Element x y z (fractional)
Li1 0.000 0.000 0.000
Al1 0.010 0.691 0.665
Al2 0.309 0.990 0.335
Al3 0.341 0.659 0.000
Al4 0.659 0.341 0.000
Al5 0.691 0.010 0.665
Al6 0.990 0.309 0.335
Rh1 0.359 0.359 0.674
Rh2 0.641 0.641 0.326